No. 1
For CaSb2S5, a crystal structure in the Materials Project, relaxed with PBE gives the calculated X-ray powder pattern in this record (Cu Kα).
No peak broadening, texture or thermal motion is included.

Top 10 peaks for 2θ from 10° to 80°, by intensity:
hkl  d/Å  I_rel
0 0 2  5.033  1000
4 0 0  3.515  583
2 0 -4  2.678  457
1 1 0  5.385  391
1 2 1  2.694  236
3 1 0  3.653  210
1 1 2  3.448  205
5 1 2  2.021  204
2 1 -1  4.489  201
3 1 -2  3.432  200

Structure:
Lattice parameters (Å, degrees): 15.008 5.830 10.712 90.00 110.47 90.00
Positions (direct):
Ca  0.000  0.011  0.000
Ca  0.000  0.989  0.500
Ca  0.570  0.473  0.037
Ca  0.570  0.527  0.537
Sb  0.054  0.390  0.774
Sb  0.054  0.610  0.274
Sb  0.294  0.149  0.896
Sb  0.294  0.851  0.396
Sb  0.537  0.024  0.776
Sb  0.537  0.976  0.276
Sb  0.791  0.438  0.872
Sb  0.791  0.562  0.372
S  0.169  0.270  0.996
S  0.169  0.730  0.496
S  0.172  0.251  0.671
S  0.172  0.749  0.171
S  0.368  0.001  0.190
S  0.368  0.999  0.690
S  0.373  0.499  0.436
S  0.373  0.501  0.936
S  0.568  0.024  0.519
S  0.568  0.976  0.019
S  0.579  0.439  0.790
S  0.579  0.561  0.290
S  0.771  0.428  0.150
S  0.771  0.572  0.650
S  0.791  0.037  0.892
S  0.791  0.963  0.392
S  0.962  0.043  0.731
S  0.962  0.957  0.231
S  0.965  0.490  0.474
S  0.965  0.510  0.974

=====

No. 2
For CaSc2S4, a crystal structure in the Materials Project, relaxed with PBE gives the calculated X-ray powder pattern in this record (Cu Kα).
No peak broadening, texture or thermal motion is included.

Top 10 peaks for 2θ from 10° to 80°, by intensity:
hkl  d/Å  I_rel
1 1 3  2.796  1000
3 1 1  2.635  843
2 1 4  2.304  833
0 2 0  1.872  597
3 0 2  3.350  525
4 0 2  2.659  519
0 1 3  2.881  462
4 1 1  2.257  427
1 1 4  2.453  409
2 0 6  2.101  407

Structure:
Lattice parameters (Å, degrees): 11.568 3.744 13.532 90.00 90.00 90.00
Positions (direct):
Ca  0.240  0.250  0.167
Ca  0.260  0.750  0.667
Ca  0.740  0.250  0.333
Ca  0.760  0.750  0.833
Sc  0.058  0.250  0.388
Sc  0.085  0.250  0.903
Sc  0.415  0.750  0.403
Sc  0.442  0.750  0.888
Sc  0.558  0.250  0.112
Sc  0.585  0.250  0.597
Sc  0.915  0.750  0.097
Sc  0.942  0.750  0.612
S  0.033  0.750  0.785
S  0.091  0.250  0.575
S  0.126  0.750  0.033
S  0.202  0.750  0.331
S  0.298  0.250  0.831
S  0.374  0.250  0.533
S  0.409  0.750  0.075
S  0.467  0.250  0.285
S  0.533  0.750  0.715
S  0.591  0.250  0.925
S  0.626  0.750  0.467
S  0.702  0.750  0.169
S  0.798  0.250  0.669
S  0.874  0.250  0.967
S  0.909  0.750  0.425
S  0.967  0.250  0.215

=====

No. 3
For Ca2SiS4, a crystal structure in the Materials Project, relaxed with PBE gives the calculated X-ray powder pattern in this record (Cu Kα).
No peak broadening, texture or thermal motion is included.

Top 10 peaks for 2θ from 10° to 80°, by intensity:
hkl  d/Å  I_rel
2 2 2  2.336  1000
2 2 1  3.065  844
1 2 1  3.321  711
6 2 0  2.003  593
4 0 1  3.018  547
3 1 1  3.373  486
3 0 1  3.702  457
2 1 0  5.272  419
2 2 3  1.792  388
0 4 0  2.045  363

Structure:
Lattice parameters (Å, degrees): 13.788 8.181 6.247 90.00 90.00 90.00
Positions (direct):
Ca  0.000  0.000  0.000
Ca  0.000  0.500  0.000
Ca  0.227  0.250  0.494
Ca  0.273  0.750  0.994
Ca  0.500  0.000  0.500
Ca  0.500  0.500  0.500
Ca  0.727  0.250  0.006
Ca  0.773  0.750  0.506
Si  0.094  0.750  0.409
Si  0.406  0.250  0.909
Si  0.594  0.750  0.091
Si  0.906  0.250  0.591
S  0.051  0.250  0.720
S  0.095  0.750  0.748
S  0.165  0.542  0.270
S  0.165  0.958  0.270
S  0.335  0.042  0.770
S  0.335  0.458  0.770
S  0.405  0.250  0.248
S  0.449  0.750  0.220
S  0.551  0.250  0.780
S  0.595  0.750  0.752
S  0.665  0.542  0.230
S  0.665  0.958  0.230
S  0.835  0.042  0.730
S  0.835  0.458  0.730
S  0.905  0.250  0.252
S  0.949  0.750  0.280

=====

No. 4
For CaSm2S3, a crystal structure in the Materials Project, relaxed with PBE gives the calculated X-ray powder pattern in this record (Cu Kα).
No peak broadening, texture or thermal motion is included.

Top 10 peaks for 2θ from 10° to 80°, by intensity:
hkl  d/Å  I_rel
0 1 2  2.845  1000
1 1 0  2.012  641
1 0 1  3.286  566
0 2 1  1.716  288
1 2 2  1.272  285
2 0 2  1.643  236
2 1 1  1.306  116
0 2 4  1.423  99
1 0 0  3.485  89
0 1 3  2.390  78

Structure:
Lattice parameters (Å, degrees): 4.025 4.025 9.853 90.00 90.00 120.00
Positions (direct):
Ca  0.000  0.000  0.000
Sm  0.333  0.667  0.656
Sm  0.667  0.333  0.344
S  0.000  0.000  0.500
S  0.333  0.667  0.165
S  0.667  0.333  0.835